Calculated PXRD pattern of Li2YAg2 for a wavelength of 1.5418 Å, from a cell relaxed with PBE.
Peak positions follow from Bragg's law for the DFT cell and can differ from measured ones.

Principal peaks in the range 2θ = 10–80°, low angle first:
hkl 0 0 1, 2θ 13.42, rel. 49
hkl 1 0 0, 2θ 22.59, rel. 33
hkl 1 1 0, 2θ 32.17, rel. 70
hkl 1 1 1, 2θ 35.00, rel. 26
hkl 1 0 2, 2θ 35.51, rel. 100
hkl 1 1 2, 2θ 42.50, rel. 11
hkl 2 0 0, 2θ 46.13, rel. 28
hkl 1 0 3, 2θ 47.35, rel. 25
hkl 2 1 2, 2θ 59.53, rel. 42
hkl 1 1 4, 2θ 65.81, rel. 9
hkl 2 1 3, 2θ 68.25, rel. 16
hkl 3 1 0, 2θ 76.56, rel. 10

Crystal structure
```
data_Li2YAg2
_symmetry_space_group_name_H-M 'P 1'
_symmetry_Int_Tables_number 1
_cell_length_a 3.9353
_cell_length_b 3.9353
_cell_length_c 6.5984
_cell_angle_alpha 90.00
_cell_angle_beta 90.00
_cell_angle_gamma 90.00
loop_
_symmetry_equiv_pos_as_xyz
'x,y,z'
loop_
_atom_site_label
_atom_site_fract_x
_atom_site_fract_y
_atom_site_fract_z
Li1 0.0000 0.5000 0.0000
Li2 0.5000 0.0000 0.0000
Y1 0.0000 0.0000 0.5000
Ag1 0.5000 0.5000 0.2835
Ag2 0.5000 0.5000 0.7165
```